# 1
Starting from a DFT-relaxed cell (PBE, Alexandria), the XRD peak list of TbCe2Br2N2 was computed for Cu Kα X-rays.
Neutral-atom scattering factors, no anomalous dispersion.

Top 10 peaks for 10° ≤ 2θ ≤ 80°, sorted by position:
hkl  two_theta  d_spacing  intensity
0 0 2  11.2  7.909  38
1 1 0  27.9  3.203  87
1 0 5  34.6  2.594  100
2 0 0  39.8  2.265  40
1 0 7  44.8  2.022  12
2 1 5  53.7  1.706  56
2 2 0  57.5  1.602  13
3 1 0  65.1  1.432  16
1 1 10  65.9  1.418  11
3 0 5  68.9  1.363  13

Unit cell a=4.5299 b=4.5299 c=15.8170 alpha=90.00 beta=90.00 gamma=90.00
Space group I4/mmm (No. 139)
Symmetry-distinct sites (fractional):
Tb (0.0000, 0.0000, 0.0000) x2
Ce (0.0000, 0.0000, 0.4080) x4
Br (0.0000, 0.0000, 0.1855) x4
N (0.0000, 0.5000, 0.0000) x4



# 2
Starting from a DFT-relaxed cell (PBE, Alexandria), the XRD peak list of CeNb2Se4Br2 was computed for Cu Kα X-rays.
Neutral-atom scattering factors, no anomalous dispersion.

Top 10 peaks for 10° ≤ 2θ ≤ 80°, sorted by position:
hkl  two_theta  d_spacing  intensity
0 0 3  12.0  7.373  100
1 0 0  28.6  3.123  55
1 0 3  31.1  2.875  27
0 1 4  32.9  2.719  29
1 0 5  35.2  2.551  89
0 1 6  37.8  2.383  21
1 0 7  40.6  2.221  17
0 1 8  43.7  2.070  43
1 1 0  50.6  1.803  45
0 2 5  63.2  1.472  16

Unit cell a=3.6056 b=3.6056 c=22.1188 alpha=90.00 beta=90.00 gamma=120.00
Space group P3m1 (No. 156)
Symmetry-distinct sites (fractional):
Ce (0.0000, 0.0000, 0.0000) x1
Nb (0.0000, 0.0000, 0.6478) x1
Nb (0.6667, 0.3333, 0.3357) x1
Se (0.0000, 0.0000, 0.2611) x1
Se (0.0000, 0.0000, 0.4098) x1
Se (0.6667, 0.3333, 0.5737) x1
Se (0.6667, 0.3333, 0.7224) x1
Br (0.6667, 0.3333, 0.0946) x1
Br (0.6667, 0.3333, 0.9052) x1



# 3
Starting from a DFT-relaxed cell (PBE, Alexandria), the XRD peak list of CeNdPtBr was computed for Cu Kα X-rays.
Neutral-atom scattering factors, no anomalous dispersion.

Top 10 peaks for 10° ≤ 2θ ≤ 80°, sorted by position:
hkl  two_theta  d_spacing  intensity
0 0 3  11.3  7.845  49
0 1 2  25.7  3.466  34
0 1 5  31.1  2.873  100
1 0 7  36.4  2.466  22
0 1 8  39.4  2.285  11
1 1 0  43.2  2.094  45
1 1 3  44.8  2.023  11
1 0 10  46.0  1.974  26
2 0 5  54.2  1.692  21
1 2 5  71.7  1.316  18

Unit cell a=4.1882 b=4.1882 c=23.5338 alpha=90.00 beta=90.00 gamma=120.00
Space group R3m (No. 160, hexagonal axes)
Symmetry-distinct sites (fractional):
Ce (0.0000, 0.0000, 0.0000) x3
Nd (0.0000, 0.0000, 0.7989) x3
Pt (0.0000, 0.0000, 0.3972) x3
Br (0.0000, 0.0000, 0.5689) x3



# 4
Starting from a DFT-relaxed cell (PBE, Alexandria), the XRD peak list of Ce7NiBr12 was computed for Cu Kα X-rays.
Neutral-atom scattering factors, no anomalous dispersion.

Top 10 peaks for 10° ≤ 2θ ≤ 80°, sorted by position:
hkl  two_theta  d_spacing  intensity
1 0 1  10.9  8.104  10
1 1 0  11.5  7.663  32
3 1 2  29.9  2.988  100
2 5 0  42.5  2.125  36
4 -3 4  43.1  2.101  36
8 -6 2  52.9  1.732  18
6 2 4  62.1  1.494  11
10 -1 2  70.1  1.343  14
7 -2 6  70.8  1.330  14
11 -5 4  78.2  1.222  10

Unit cell a=15.3263 b=15.3263 c=10.2333 alpha=90.00 beta=90.00 gamma=120.00
Space group R-3 (No. 148, hexagonal axes)
Symmetry-distinct sites (fractional):
Ce (0.0000, 0.0000, 0.0000) x3
Ce (0.0409, 0.1634, 0.3414) x18
Ni (0.0000, 0.0000, 0.5000) x3
Br (0.0255, 0.5849, 0.1599) x18
Br (0.0468, 0.1828, 0.8407) x18